Entry 1:
Computed powder diffractogram of Li5Co3O8 for Cu Ka, from a PBE+U-relaxed structure.
No peak broadening, texture or thermal motion is included.

Atomic structure:
```
data_Li5Co3O8
_chemical_formula_sum 'Li5 Co3 O8'
_symmetry_space_group_name_H-M 'P -1'
_symmetry_Int_Tables_number 2
_symmetry_space_group_name_Hall '-P 1'
_cell_length_a 2.9877
_cell_length_b 5.0259
_cell_length_c 9.7324
_cell_angle_alpha 76.96
_cell_angle_beta 88.16
_cell_angle_gamma 88.88
loop_
_atom_site_label
_atom_site_fract_x
_atom_site_fract_y
_atom_site_fract_z
Li1 0.0000 0.0000 0.0000
Li2 0.0000 0.5000 0.5000
Li3 0.4943 0.2466 0.7507
Li4 0.5000 0.0000 0.5000
Co1 0.0012 0.2439 0.2600
Co2 0.5000 0.5000 0.0000
O1 0.0003 0.0876 0.6394
O2 0.0092 0.4086 0.8714
O3 0.4662 0.1458 0.1242
O4 0.4705 0.6319 0.6343
```

Largest 6 diffraction maxima, in order of rising 2θ, 10 to 90 degrees two-theta:
2θ = 18.43°, I 100, hkl 0 1 1
2θ = 35.06°, I 18, hkl 1 0 2
2θ = 36.00°, I 13, hkl 1 0 -2
2θ = 42.11°, I 35, hkl 1 1 3
2θ = 43.66°, I 31, hkl -1 1 3
2θ = 45.37°, I 26, hkl 0 2 -2

***

Entry 2:
Computed powder diffractogram of Ba6Mn2ZnCl6F12 for Cu Ka, from a PBE+U-relaxed structure.
No peak broadening, texture or thermal motion is included.

Atomic structure:
```
data_Ba6Mn2ZnCl6F12
_chemical_formula_sum 'Ba6 Mn2 Zn1 Cl6 F12'
_symmetry_space_group_name_H-M 'P -3'
_symmetry_Int_Tables_number 147
_symmetry_space_group_name_Hall '-P 3'
_cell_length_a 10.2434
_cell_length_b 10.2434
_cell_length_c 5.9308
_cell_angle_alpha 90.00
_cell_angle_beta 90.00
_cell_angle_gamma 120.00
loop_
_atom_site_label
_atom_site_fract_x
_atom_site_fract_y
_atom_site_fract_z
Ba1 0.0917 0.6890 0.2501
Mn1 0.3333 0.6667 0.7508
Zn1 0.0000 0.0000 0.0000
Cl1 0.0491 0.8268 0.7650
F1 0.1606 0.5182 0.5135
F2 0.1607 0.5195 0.9867
```

Largest 6 diffraction maxima, in order of rising 2θ, 10 to 90 degrees two-theta:
2θ = 22.94°, I 100, hkl 1 1 1
2θ = 25.07°, I 44, hkl 0 2 1
2θ = 26.59°, I 53, hkl 2 1 0
2θ = 30.16°, I 38, hkl 0 0 2
2θ = 30.63°, I 99, hkl 3 -1 1
2θ = 40.62°, I 81, hkl 3 -1 2